1.
Simulated PXRD pattern
Compound: DyMoO4F
Radiation: Cu Ka
Structure: a crystal structure in the Materials Project, relaxed with GGA+U
No peak broadening, texture or thermal motion is included.

Cell and atoms:
```
data_DyMoO4F
_chemical_formula_sum 'Dy4 Mo4 O16 F4'
_space_group_name_H-M_alt 'P 1 21/c 1'
_space_group_IT_number 14
_cell_length_a 5.270
_cell_length_b 12.444
_cell_length_c 6.734
_cell_angle_alpha 90.00
_cell_angle_beta 113.15
_cell_angle_gamma 90.00
loop_
_space_group_symop_operation_xyz
'x,y,z'
'-x,-y,-z'
'-x,y+1/2,-z+1/2'
'x,-y+1/2,z+1/2'
loop_
_atom_site_label
_atom_site_fract_x
_atom_site_fract_y
_atom_site_fract_z
_atom_site_occupancy
Dy1 0.139 0.051 0.300 1
Mo1 0.421 0.143 0.870 1
O1 0.191 0.065 0.962 1
O2 0.262 0.653 0.407 1
O3 0.307 0.223 0.295 1
O4 0.496 0.069 0.662 1
F1 0.045 0.598 0.964 1
```

The 6 most intense peaks (10 to 80 degrees two-theta), sorted by position:
2θ/deg, I/Imax, h k l
14.23, 75.6, 0 2 0
23.26, 94.7, 1 2 -1
27.42, 48.3, 1 0 -2
28.32, 100.0, 1 3 -1
28.41, 54.1, 1 1 1
31.06, 50.2, 1 2 1


2.
Simulated PXRD pattern
Compound: LiCoO2
Radiation: Cu Ka
Structure: a crystal structure in the Materials Project, relaxed with GGA+U
No peak broadening, texture or thermal motion is included.

Cell and atoms:
```
data_LiCoO2
_chemical_formula_sum 'Li1 Co1 O2'
_space_group_name_H-M_alt 'P 4/m m m'
_space_group_IT_number 123
_space_group_name_Hall '-P 4 2'
_cell_length_a 2.994
_cell_length_b 2.994
_cell_length_c 3.857
_cell_angle_alpha 90.00
_cell_angle_beta 90.00
_cell_angle_gamma 90.00
loop_
_atom_site_label
_atom_site_fract_x
_atom_site_fract_y
_atom_site_fract_z
_atom_site_occupancy
Li1 0.000 0.000 0.000 1
Co1 0.500 0.500 0.500 1
O1 0.000 0.000 0.500 1
O2 0.500 0.500 0.000 1
```

The 6 most intense peaks (10 to 80 degrees two-theta), sorted by position:
2θ/deg, I/Imax, h k l
23.06, 89.2, 0 0 1
29.85, 92.3, 1 0 0
42.72, 100.0, 1 1 0
47.12, 36.2, 0 0 2
49.09, 42.9, 1 1 1
65.47, 46.1, 1 1 2


3.
Simulated PXRD pattern
Compound: Ba3CrO5
Radiation: Cu Ka
Structure: a crystal structure in the Materials Project, relaxed with GGA+U
No peak broadening, texture or thermal motion is included.

Cell and atoms:
```
data_Ba3CrO5
_chemical_formula_sum 'Ba12 Cr4 O20'
_space_group_name_H-M_alt 'I 4/m c m'
_space_group_IT_number 140
_space_group_name_Hall '-I 4 2c'
_cell_length_a 7.399
_cell_length_b 7.399
_cell_length_c 11.839
_cell_angle_alpha 90.00
_cell_angle_beta 90.00
_cell_angle_gamma 90.00
loop_
_atom_site_label
_atom_site_fract_x
_atom_site_fract_y
_atom_site_fract_z
_atom_site_occupancy
Ba1 0.000 0.000 0.250 1
Ba2 0.181 0.319 0.000 1
Cr1 0.000 0.500 0.250 1
O1 0.000 0.000 0.000 1
O2 0.136 0.364 0.343 1
```

The 6 most intense peaks (10 to 80 degrees two-theta), sorted by position:
2θ/deg, I/Imax, h k l
28.00, 43.6, 2 1 1
28.45, 100.0, 2 0 2
30.19, 33.4, 0 0 4
34.28, 26.7, 2 2 0
35.40, 53.3, 2 1 3
38.47, 22.1, 3 1 0